The following is a computed XRD peak list of GaSe2NCl6. It was derived from a cell relaxed with PBE, using Cu Kα, 1.54184 Å.

Main lines, by angle (2θ = 5–70°):
| index | two_theta | Rel. int. |
| --- | --- | --- |
| 0 0 2 | 17.62 | 79.1 |
| 2 0 0 | 19.13 | 89.4 |
| 2 0 -2 | 19.94 | 100.0 |
| 2 1 -2 | 21.33 | 83.3 |
| 0 3 1 | 24.27 | 55.6 |
| 3 0 -2 | 26.86 | 63.6 |
| 1 3 -2 | 27.91 | 91.6 |
| 2 3 -1 | 28.64 | 87.8 |

Structure:
Unit cell a=10.196 b=11.814 c=11.060 alpha=90.00 beta=114.48 gamma=90.00
Atoms (fractional coordinates):
Ga (0.173, 0.194, 0.487)
Ga (0.173, 0.306, 0.987)
Ga (0.827, 0.694, 0.013)
Ga (0.827, 0.806, 0.513)
Se (0.212, 0.682, 0.879)
Se (0.212, 0.818, 0.379)
Se (0.274, 0.546, 0.454)
Se (0.274, 0.954, 0.954)
Se (0.726, 0.046, 0.046)
Se (0.726, 0.454, 0.546)
Se (0.788, 0.182, 0.621)
Se (0.788, 0.318, 0.121)
N (0.215, 0.672, 0.372)
N (0.215, 0.828, 0.872)
N (0.785, 0.172, 0.128)
N (0.785, 0.328, 0.628)
Cl (0.003, 0.676, 0.587)
Cl (0.003, 0.824, 0.087)
Cl (0.142, 0.097, 0.643)
Cl (0.142, 0.403, 0.143)
Cl (0.164, 0.086, 0.322)
Cl (0.164, 0.414, 0.822)
Cl (0.365, 0.632, 0.078)
Cl (0.365, 0.868, 0.578)
Cl (0.378, 0.212, 0.067)
Cl (0.378, 0.288, 0.567)
Cl (0.424, 0.580, 0.660)
Cl (0.424, 0.920, 0.160)
Cl (0.576, 0.080, 0.840)
Cl (0.576, 0.420, 0.340)
Cl (0.622, 0.712, 0.433)
Cl (0.622, 0.788, 0.933)
Cl (0.635, 0.132, 0.422)
Cl (0.635, 0.368, 0.922)
Cl (0.836, 0.586, 0.178)
Cl (0.836, 0.914, 0.678)
Cl (0.858, 0.597, 0.857)
Cl (0.858, 0.903, 0.357)
Cl (0.997, 0.176, 0.913)
Cl (0.997, 0.324, 0.413)